Structure and simulated PXRD pattern of CaCr2N2 (a structure optimized by DFT (PBE); Cu Kα, 1.54184 Å).
Lines closer than 0.1° are merged.

Most intense lines, 10° ≤ 2θ ≤ 90°, low angle first:
d (Å)	intensity	hkl
3.194	24	1 0 0
2.926	100	1 0 1
2.431	23	0 0 3
2.403	31	1 0 2
2.259	31	1 1 0
1.655	33	1 1 3
1.597	18	2 0 0
1.584	18	1 0 4
1.402	17	2 1 1
1.335	12	2 0 3

Atomic structure:
```
data_CaCr2N2
_symmetry_space_group_name_H-M 'P 1'
_symmetry_Int_Tables_number 1
_symmetry_space_group_name_Hall 'P 1'
_cell_length_a 3.1942
_cell_length_b 3.1942
_cell_length_c 7.2933
_cell_angle_alpha 90.00
_cell_angle_beta 90.00
_cell_angle_gamma 90.00
loop_
_atom_site_label
_atom_site_type_symbol
_atom_site_fract_x
_atom_site_fract_y
_atom_site_fract_z
Ca1 Ca 0.0000 0.0000 0.0000
Cr1 Cr 0.5000 0.5000 0.3465
Cr2 Cr 0.5000 0.5000 0.6535
N1 N 0.0000 0.5000 0.7712
N2 N 0.5000 0.0000 0.2288
```